For CsGe, the GGA-PBE geometry in the Materials Project gives the calculated powder XRD pattern in this record (Cu Ka).
Intensities are scaled so that the largest is 1000.

Largest 10 diffraction maxima, low angle first, 2θ = 15–90°:
- 24.3 deg, I = 1000
- 25.0 deg, I = 351
- 27.3 deg, I = 917
- 31.0 deg, I = 419
- 32.7 deg, I = 397
- 33.2 deg, I = 345
- 40.2 deg, I = 193
- 46.1 deg, I = 273
- 47.4 deg, I = 187
- 50.8 deg, I = 262

Structure:
```
data_CsGe
_space_group_name_H-M_alt 'C m c m'
_space_group_IT_number 63
_space_group_name_Hall '-C 2c 2'
_cell_length_a 5.7656
_cell_length_b 14.2340
_cell_length_c 4.1268
_cell_angle_alpha 90.00
_cell_angle_beta 90.00
_cell_angle_gamma 90.00
loop_
_atom_site_label
_atom_site_type_symbol
_atom_site_fract_x
_atom_site_fract_y
_atom_site_fract_z
_atom_site_occupancy
Cs1 Cs 0.0000 0.1482 0.2500 1
Ge1 Ge 0.0000 0.4478 0.2500 1
```

***

For CsNa3Li12Ge4O16, the GGA-PBE geometry in the Materials Project gives the calculated powder XRD pattern in this record (Cu Ka).
Intensities are scaled so that the largest is 1000.

Largest 10 diffraction maxima, low angle first, 2θ = 15–90°:
- 22.2 deg, I = 1000
- 24.8 deg, I = 347
- 27.2 deg, I = 138
- 35.4 deg, I = 290
- 37.2 deg, I = 512
- 42.2 deg, I = 228
- 45.2 deg, I = 211
- 51.0 deg, I = 122
- 58.7 deg, I = 101
- 64.7 deg, I = 204

Structure:
```
data_CsNa3Li12Ge4O16
_space_group_name_H-M_alt 'I 4/m'
_space_group_IT_number 87
_space_group_name_Hall '-I 4'
_cell_length_a 11.3315
_cell_length_b 11.3315
_cell_length_c 6.5614
_cell_angle_alpha 90.00
_cell_angle_beta 90.00
_cell_angle_gamma 90.00
loop_
_atom_site_label
_atom_site_type_symbol
_atom_site_fract_x
_atom_site_fract_y
_atom_site_fract_z
_atom_site_occupancy
Cs1 Cs 0.0000 0.0000 0.0000 1
Na1 Na 0.0000 0.0000 0.5000 1
Na2 Na 0.0000 0.5000 0.2500 1
Li1 Li 0.0775 0.7155 0.0000 1
Li2 Li 0.1020 0.2334 0.2555 1
Ge1 Ge 0.0804 0.7189 0.5000 1
O1 O 0.0677 0.3385 0.5000 1
O2 O 0.0878 0.8063 0.2748 1
O3 O 0.0982 0.3201 0.0000 1
```